Starting from a crystal structure in Alexandria, relaxed with PBE, the powder X-ray diffraction pattern of TlWCl6 was calculated for CuKα.
Kinematic intensities with the Lorentz-polarization factor, no thermal factor.

Cell and atoms:
```
data_TlWCl6
_symmetry_space_group_name_H-M 'C 1 2/c 1'
_symmetry_Int_Tables_number 15
_symmetry_space_group_name_Hall '-C 2yc'
_cell_length_a 11.2763
_cell_length_b 8.3231
_cell_length_c 10.8714
_cell_angle_alpha 90.00
_cell_angle_beta 90.31
_cell_angle_gamma 90.00
loop_
_atom_site_label
_atom_site_type_symbol
_atom_site_fract_x
_atom_site_fract_y
_atom_site_fract_z
_atom_site_occupancy
Tl1 Tl 0.0000 0.0120 0.2500 1
W1 W 0.2500 0.2500 0.5000 1
Cl1 Cl 0.0758 0.3402 0.4069 1
Cl2 Cl 0.1681 0.2976 0.6946 1
Cl3 Cl 0.1733 0.0150 0.0022 1
```

Largest 6 diffraction maxima, by intensity, 2θ from 10° to 80°:
- hkl 1 1 -1, 2θ = 15.54°, I 100.0
- hkl 1 1 0, 2θ = 13.22°, I 48.8
- hkl 2 2 0, 2θ = 26.62°, I 34.6
- hkl 2 0 -2, 2θ = 22.66°, I 31.9
- hkl 1 1 2, 2θ = 21.05°, I 28.3
- hkl 2 0 2, 2θ = 22.79°, I 27.6